Starting from the PBE geometry in Alexandria, the powder XRD pattern of Tl5SbPb2 was calculated for Cu Kα X-rays.

Crystal structure
```
data_Tl5SbPb2
_space_group_name_H-M_alt 'P b a m'
_space_group_IT_number 55
_space_group_name_Hall '-P 2 2ab'
_cell_length_a 7.165
_cell_length_b 14.552
_cell_length_c 4.751
_cell_angle_alpha 90.00
_cell_angle_beta 90.00
_cell_angle_gamma 90.00
loop_
_atom_site_label
_atom_site_type_symbol
_atom_site_fract_x
_atom_site_fract_y
_atom_site_fract_z
_atom_site_occupancy
Tl1 Tl 0.000 0.000 0.000 1
Tl2 Tl 0.012 0.254 0.000 1
Tl3 Tl 0.240 0.875 0.500 1
Sb1 Sb 0.000 0.500 0.000 1
Pb1 Pb 0.230 0.619 0.500 1
```

Principal peaks in the range 2θ from 15° to 90°, by angle:
two_theta	d/Å	intensity
31.0	2.888	100
31.3	2.861	95
35.2	2.553	69
37.9	2.376	29
50.2	1.819	13
51.0	1.791	11
52.6	1.739	45
60.3	1.535	29
60.8	1.522	27
64.1	1.452	14
64.3	1.449	12
64.5	1.444	12